(1)
For NiMo2Rh6, a cell relaxed with GGA-PBE gives the computed powder diffraction line list in this record (a wavelength of 1.5418 Å).

Principal peaks in the range 2θ = 10–90°, by angle:
2theta  I_rel
40.6  100.0
40.7  98.6
47.0  32.6
47.1  32.2
47.8  30.5
68.8  20.2
69.4  19.5
83.0  36.2
83.2  11.7
84.1  11.6
84.3  11.2
87.9  10.6

Cell and atoms:
a b c (Å): 4.688 4.688 8.110
angles (deg): 105.98 105.98 48.67
Element x y z (fractional)
Ni 0.000 0.000 0.000
Mo 0.331 0.331 0.780
Mo 0.669 0.669 0.220
Rh 0.000 0.000 0.326
Rh 0.000 0.000 0.674
Rh 0.332 0.332 0.445
Rh 0.336 0.336 0.107
Rh 0.664 0.664 0.893
Rh 0.668 0.668 0.555

***

(2)
For MgTl12Hg7, a cell relaxed with GGA-PBE gives the computed powder diffraction line list in this record (a wavelength of 1.5418 Å).

Principal peaks in the range 2θ = 10–90°, by angle:
2theta  I_rel
28.4  30.0
29.1  36.0
29.6  29.4
31.2  39.5
31.6  100.0
34.6  32.6
35.2  34.4
35.6  23.4
40.8  31.2
49.9  24.9
57.7  20.1
62.8  21.4

Cell and atoms:
a b c (Å): 10.812 10.812 10.812
angles (deg): 116.49 116.49 116.49
Element x y z (fractional)
Mg 0.000 0.000 0.000
Tl 0.086 0.430 0.430
Tl 0.091 0.500 0.909
Tl 0.091 0.909 0.500
Tl 0.430 0.086 0.430
Tl 0.430 0.430 0.086
Tl 0.500 0.091 0.909
Tl 0.500 0.909 0.091
Tl 0.570 0.570 0.914
Tl 0.570 0.914 0.570
Tl 0.909 0.091 0.500
Tl 0.909 0.500 0.091
Tl 0.914 0.570 0.570
Hg 0.117 0.117 0.362
Hg 0.117 0.362 0.117
Hg 0.362 0.117 0.117
Hg 0.500 0.500 0.500
Hg 0.638 0.883 0.883
Hg 0.883 0.638 0.883
Hg 0.883 0.883 0.638

***

(3)
For Ga2Hg5Pb12, a cell relaxed with GGA-PBE gives the computed powder diffraction line list in this record (a wavelength of 1.5418 Å).

Principal peaks in the range 2θ = 10–90°, by angle:
2theta  I_rel
27.7  8.6
32.7  100.0
33.7  59.6
34.0  33.0
47.4  10.3
47.9  21.4
57.6  13.3
59.6  9.8
59.8  9.5
60.0  10.6
60.7  9.8
78.9  7.9

Cell and atoms:
a b c (Å): 11.183 11.183 5.478
angles (deg): 101.81 101.81 56.24
Element x y z (fractional)
Ga 0.250 0.750 0.000
Ga 0.750 0.250 0.000
Hg 0.000 0.000 0.500
Hg 0.195 0.195 0.669
Hg 0.298 0.298 0.245
Hg 0.702 0.702 0.755
Hg 0.805 0.805 0.331
Pb 0.053 0.548 0.794
Pb 0.091 0.091 0.081
Pb 0.184 0.639 0.400
Pb 0.361 0.816 0.600
Pb 0.414 0.414 0.869
Pb 0.452 0.947 0.206
Pb 0.548 0.053 0.794
Pb 0.586 0.586 0.131
Pb 0.639 0.184 0.400
Pb 0.816 0.361 0.600
Pb 0.909 0.909 0.919
Pb 0.947 0.452 0.206